BaNdFe4O12: calculated powder XRD pattern (a wavelength of 1.5418 Å), based on a structure optimized by DFT (GGA+U).
No peak broadening, texture or thermal motion is included.

Structural model:
```
BaNdFe4O12
1.0
5.4774 0.0000 0.0000
0.0000 5.4774 0.0000
0.0000 0.0000 7.7251
Ba Nd Fe O
1 1 4 12
direct
0.0000 0.0000 0.0000
0.5000 0.5000 0.5000
0.0000 0.5000 0.2505
0.0000 0.5000 0.7495
0.5000 0.0000 0.2505
0.5000 0.0000 0.7495
0.0000 0.5000 0.0000
0.0000 0.5000 0.5000
0.2591 0.2591 0.2645
0.2591 0.2591 0.7355
0.2591 0.7409 0.2645
0.2591 0.7409 0.7355
0.5000 0.0000 0.0000
0.5000 0.0000 0.5000
0.7409 0.2591 0.2645
0.7409 0.2591 0.7355
0.7409 0.7409 0.2645
0.7409 0.7409 0.7355
```

Top 10 peaks for 10 to 80 degrees two-theta, by angle:
| d/Å | I/Imax | h k l |
| --- | --- | --- |
| 4.468 | 89 | 1 0 1 |
| 2.736 | 100 | 2 0 0 |
| 2.333 | 48 | 2 1 1 |
| 1.937 | 29 | 2 2 0 |
| 1.931 | 14 | 0 0 4 |
| 1.775 | 21 | 2 1 3 |
| 1.580 | 38 | 2 0 4 |
| 1.490 | 12 | 3 0 3 |
| 1.367 | 16 | 2 2 4 |
| 1.225 | 11 | 4 2 0 |